[1]
Computed PXRD pattern
Compound: TlSnBF6
Radiation: Cu Kα
Structure: DFT lattice parameters and positions (GGA-PBE)
Kinematic intensities with the Lorentz-polarization factor, no thermal factor.

Largest 10 diffraction maxima, in order of falling intensity, 10 to 90 degrees two-theta:
d_spacing	2θ (°)	I (rel.)
4.161	21.4	100
4.109	21.6	79
3.570	24.9	51
3.815	23.3	28
2.968	30.1	26
2.786	32.1	23
2.640	34.0	23
4.262	20.8	22
2.945	30.4	21
2.094	43.2	20

Structural model:
```
data_TlSnBF6
_cell_length_a 5.025
_cell_length_b 5.384
_cell_length_c 7.407
_cell_angle_alpha 87.92
_cell_angle_beta 84.81
_cell_angle_gamma 69.14
_symmetry_space_group_name_H-M 'P 1'
_symmetry_Int_Tables_number 1
loop_
_symmetry_equiv_pos_as_xyz
'x,y,z'
loop_
_atom_site_label
_atom_site_fract_x
_atom_site_fract_y
_atom_site_fract_z
Tl1 0.000 0.000 0.000
Sn1 0.354 0.335 0.596
B1 0.661 0.675 0.329
F1 0.178 0.529 0.838
F2 0.482 0.719 0.500
F3 0.522 0.870 0.202
F4 0.697 0.418 0.270
F5 0.747 0.198 0.704
F6 0.923 0.698 0.359
```


[2]
Computed PXRD pattern
Compound: SrB3F12
Radiation: Cu Kα
Structure: DFT lattice parameters and positions (GGA-PBE)
Kinematic intensities with the Lorentz-polarization factor, no thermal factor.

Largest 10 diffraction maxima, in order of falling intensity, 10 to 90 degrees two-theta:
d_spacing	2θ (°)	I (rel.)
8.287	10.7	100
3.424	26.0	96
3.760	23.7	59
2.181	41.4	49
2.150	42.0	48
4.902	18.1	33
4.784	18.5	25
2.784	32.1	25
1.969	46.1	23
2.298	39.2	23

Structural model:
```
data_SrB3F12
_cell_length_a 9.569
_cell_length_b 9.569
_cell_length_c 6.080
_cell_angle_alpha 90.00
_cell_angle_beta 90.00
_cell_angle_gamma 120.00
_symmetry_space_group_name_H-M 'P 1'
_symmetry_Int_Tables_number 1
loop_
_symmetry_equiv_pos_as_xyz
'x,y,z'
loop_
_atom_site_label
_atom_site_fract_x
_atom_site_fract_y
_atom_site_fract_z
Sr1 0.333 0.667 0.250
Sr2 0.667 0.333 0.750
B1 0.097 0.709 0.750
B2 0.291 0.388 0.750
B3 0.388 0.097 0.250
B4 0.612 0.903 0.750
B5 0.709 0.612 0.250
B6 0.903 0.291 0.250
F1 0.036 0.450 0.250
F2 0.045 0.822 0.750
F3 0.178 0.224 0.750
F4 0.192 0.731 0.560
F5 0.192 0.731 0.940
F6 0.224 0.045 0.250
F7 0.269 0.461 0.560
F8 0.269 0.461 0.940
F9 0.414 0.964 0.250
F10 0.450 0.414 0.750
F11 0.461 0.192 0.060
F12 0.461 0.192 0.440
F13 0.539 0.808 0.560
F14 0.539 0.808 0.940
F15 0.550 0.586 0.250
F16 0.586 0.036 0.750
F17 0.731 0.539 0.060
F18 0.731 0.539 0.440
F19 0.776 0.955 0.750
F20 0.808 0.269 0.060
F21 0.808 0.269 0.440
F22 0.822 0.776 0.250
F23 0.955 0.178 0.250
F24 0.964 0.550 0.750
```


[3]
Computed PXRD pattern
Compound: Tl3B2F8
Radiation: Cu Kα
Structure: DFT lattice parameters and positions (GGA-PBE)
Kinematic intensities with the Lorentz-polarization factor, no thermal factor.

Largest 10 diffraction maxima, in order of falling intensity, 10 to 90 degrees two-theta:
d_spacing	2θ (°)	I (rel.)
2.382	37.8	100
3.617	24.6	84
2.805	31.9	74
4.781	18.6	71
4.515	19.7	49
1.759	52.0	33
1.524	60.8	26
3.027	29.5	26
2.197	41.1	20
2.216	40.7	20

Structural model:
```
data_Tl3B2F8
_cell_length_a 9.594
_cell_length_b 9.594
_cell_length_c 9.594
_cell_angle_alpha 33.99
_cell_angle_beta 33.99
_cell_angle_gamma 33.99
_symmetry_space_group_name_H-M 'P 1'
_symmetry_Int_Tables_number 1
loop_
_symmetry_equiv_pos_as_xyz
'x,y,z'
loop_
_atom_site_label
_atom_site_fract_x
_atom_site_fract_y
_atom_site_fract_z
Tl1 0.000 0.000 0.000
Tl2 0.170 0.170 0.170
Tl3 0.830 0.830 0.830
B1 0.399 0.399 0.399
B2 0.601 0.601 0.601
F1 0.279 0.279 0.693
F2 0.279 0.693 0.279
F3 0.307 0.721 0.721
F4 0.347 0.347 0.347
F5 0.653 0.653 0.653
F6 0.693 0.279 0.279
F7 0.721 0.307 0.721
F8 0.721 0.721 0.307
```


[4]
Computed PXRD pattern
Compound: Tl5B2F12
Radiation: Cu Kα
Structure: DFT lattice parameters and positions (GGA-PBE)
Kinematic intensities with the Lorentz-polarization factor, no thermal factor.

Largest 10 diffraction maxima, in order of falling intensity, 10 to 90 degrees two-theta:
d_spacing	2θ (°)	I (rel.)
3.639	24.5	100
3.843	23.1	97
2.294	39.3	50
3.268	27.3	32
2.833	31.6	29
3.227	27.6	21
3.216	27.7	20
1.980	45.8	18
2.090	43.3	18
1.820	50.1	18

Structural model:
```
data_Tl5B2F12
_cell_length_a 7.723
_cell_length_b 7.723
_cell_length_c 9.504
_cell_angle_alpha 108.11
_cell_angle_beta 108.11
_cell_angle_gamma 50.07
_symmetry_space_group_name_H-M 'P 1'
_symmetry_Int_Tables_number 1
loop_
_symmetry_equiv_pos_as_xyz
'x,y,z'
loop_
_atom_site_label
_atom_site_fract_x
_atom_site_fract_y
_atom_site_fract_z
Tl1 0.000 0.000 0.000
Tl2 0.319 0.319 0.704
Tl3 0.321 0.321 0.111
Tl4 0.679 0.679 0.889
Tl5 0.681 0.681 0.296
B1 0.176 0.824 0.500
B2 0.824 0.176 0.500
F1 0.000 0.000 0.386
F2 0.000 0.000 0.614
F3 0.084 0.575 0.914
F4 0.181 0.640 0.454
F5 0.360 0.819 0.546
F6 0.425 0.916 0.086
F7 0.497 0.497 0.762
F8 0.503 0.503 0.238
F9 0.575 0.084 0.914
F10 0.640 0.181 0.454
F11 0.819 0.360 0.546
F12 0.916 0.425 0.086
```


[5]
Computed PXRD pattern
Compound: Tl3BF6
Radiation: Cu Kα
Structure: DFT lattice parameters and positions (GGA-PBE)
Kinematic intensities with the Lorentz-polarization factor, no thermal factor.

Largest 10 diffraction maxima, in order of falling intensity, 10 to 90 degrees two-theta:
d_spacing	2θ (°)	I (rel.)
3.427	26.0	100
3.293	27.1	40
1.927	47.2	33
3.413	26.1	29
2.328	38.7	21
5.095	17.4	18
2.315	38.9	17
1.776	51.4	14
3.252	27.4	14
2.531	35.5	12

Structural model:
```
data_Tl3BF6
_cell_length_a 8.261
_cell_length_b 8.261
_cell_length_c 6.596
_cell_angle_alpha 90.00
_cell_angle_beta 90.00
_cell_angle_gamma 103.84
_symmetry_space_group_name_H-M 'P 1'
_symmetry_Int_Tables_number 1
loop_
_symmetry_equiv_pos_as_xyz
'x,y,z'
loop_
_atom_site_label
_atom_site_fract_x
_atom_site_fract_y
_atom_site_fract_z
Tl1 0.105 0.895 0.500
Tl2 0.192 0.395 0.497
Tl3 0.395 0.192 0.997
Tl4 0.605 0.808 0.497
Tl5 0.808 0.605 0.997
Tl6 0.895 0.105 0.000
B1 0.318 0.682 0.969
B2 0.682 0.318 0.469
F1 0.156 0.156 0.246
F2 0.156 0.156 0.746
F3 0.156 0.616 0.888
F4 0.309 0.691 0.183
F5 0.384 0.844 0.888
F6 0.424 0.576 0.912
F7 0.576 0.424 0.412
F8 0.616 0.156 0.388
F9 0.691 0.309 0.683
F10 0.844 0.384 0.388
F11 0.844 0.844 0.246
F12 0.844 0.844 0.746
```